Record 1
This entry pairs a crystal structure of La2C2S with its calculated PXRD pattern. Radiation: Cu Kα X-rays. Structure: a DFT-relaxed cell (GGA-PBE, Alexandria).

Principal peaks in the range 2θ from 15° to 90°, by angle:
25.18 deg, 3.536 Å, intensity 36
25.70 deg, 3.466 Å, intensity 33
26.80 deg, 3.327 Å, intensity 56
29.57 deg, 3.021 Å, intensity 100
31.61 deg, 2.831 Å, intensity 40
43.50 deg, 2.080 Å, intensity 30
44.11 deg, 2.053 Å, intensity 41
51.71 deg, 1.768 Å, intensity 21

```
10
Lattice="7.312 -2.056 0.000 7.312 2.056 0.000 -1.809 0.000 6.900" Properties=species:S:1:pos:R:3 pbc="T T T"
La 3.856 1.150 5.857
La 8.054 1.150 4.494
La 4.761 -1.150 2.407
La 8.959 -1.150 1.044
C 3.252 0.672 3.213
C 2.347 -0.672 6.663
C 10.468 0.672 0.237
C 9.563 -0.672 3.687
S 6.860 0.909 1.725
S 5.955 -0.909 5.175
```



Record 2
This entry pairs a crystal structure of Pm3PrSn6 with its calculated PXRD pattern. Radiation: Cu Kα X-rays. Structure: a DFT-relaxed cell (GGA-PBE, Alexandria).

Principal peaks in the range 2θ from 15° to 90°, by angle:
25.43 deg, 3.502 Å, intensity 31
27.23 deg, 3.275 Å, intensity 49
30.09 deg, 2.970 Å, intensity 51
30.46 deg, 2.935 Å, intensity 65
31.62 deg, 2.830 Å, intensity 100
33.65 deg, 2.663 Å, intensity 29
35.28 deg, 2.544 Å, intensity 41
38.51 deg, 2.338 Å, intensity 65

```
20
Lattice="7.385 0.000 0.000 0.000 9.738 0.000 -6.645 0.000 8.280" Properties=species:S:1:pos:R:3 pbc="T T T"
Pm 0.000 0.000 0.000
Pm -3.322 4.869 4.140
Pm -3.344 0.946 6.556
Pm -0.022 3.923 2.417
Pm 0.763 5.815 5.863
Pm 4.085 8.792 1.723
Pr 0.370 0.000 4.140
Pr 3.693 4.869 0.000
Sn -2.420 1.696 3.520
Sn -5.742 3.173 7.660
Sn -1.204 7.070 3.550
Sn -4.526 7.537 7.690
Sn 2.332 1.790 1.644
Sn -0.991 3.079 5.784
Sn 1.731 6.659 2.496
Sn -1.591 7.948 6.636
Sn 5.267 2.201 0.590
Sn 1.945 2.668 4.730
Sn 6.483 6.565 0.620
Sn 3.161 8.043 4.760
```